No. 1
Starting from the PBE geometry in Alexandria, the X-ray powder pattern of Sm2ZnGe3Rh4 was simulated for Cu Kα (weighted mean of Kα1 and Kα2).

Structural model:
Lattice parameters (Å, degrees): 4.218 4.218 10.232 90.00 90.00 90.00
Atoms (fractional coordinates):
Sm (0.000, 0.500, 0.249)
Sm (0.500, 0.000, 0.751)
Zn (0.500, 0.500, 0.000)
Ge (0.000, 0.000, 0.000)
Ge (0.000, 0.500, 0.630)
Ge (0.500, 0.000, 0.370)
Rh (0.000, 0.000, 0.500)
Rh (0.000, 0.500, 0.867)
Rh (0.500, 0.000, 0.133)
Rh (0.500, 0.500, 0.500)

Largest 10 diffraction maxima, by angle, 2θ from 15° to 90°:
2θ (°)	I (rel.)
30.0	14
33.8	63
34.8	100
42.9	61
46.8	16
49.5	28
55.7	30
62.3	20
67.5	22
73.4	22



No. 2
Starting from the PBE geometry in Alexandria, the X-ray powder pattern of K14NaTl was simulated for Cu Kα (weighted mean of Kα1 and Kα2).

Structural model:
Lattice parameters (Å, degrees): 9.100 9.100 12.290 90.00 90.00 90.00
Atoms (fractional coordinates):
K (0.000, 0.000, 0.000)
K (0.000, 0.500, 0.000)
K (0.000, 0.500, 0.500)
K (0.241, 0.241, 0.279)
K (0.241, 0.241, 0.721)
K (0.241, 0.759, 0.279)
K (0.241, 0.759, 0.721)
K (0.500, 0.000, 0.000)
K (0.500, 0.000, 0.500)
K (0.500, 0.500, 0.000)
K (0.759, 0.241, 0.279)
K (0.759, 0.241, 0.721)
K (0.759, 0.759, 0.279)
K (0.759, 0.759, 0.721)
Na (0.500, 0.500, 0.500)
Tl (0.000, 0.000, 0.500)

Largest 10 diffraction maxima, by angle, 2θ from 15° to 90°:
2θ (°)	I (rel.)
23.0	10
24.3	100
27.7	37
29.1	13
29.3	10
39.6	13
40.6	20
47.0	29
48.7	10
49.9	12



No. 3
Starting from the PBE geometry in Alexandria, the X-ray powder pattern of Pm3Zn7Ga2 was simulated for Cu Kα (weighted mean of Kα1 and Kα2).

Structural model:
Lattice parameters (Å, degrees): 14.402 14.402 14.402 163.16 163.16 23.90
Atoms (fractional coordinates):
Pm (0.000, 0.000, 0.000)
Pm (0.167, 0.167, 0.000)
Pm (0.833, 0.833, 0.000)
Zn (0.079, 0.579, 0.500)
Zn (0.275, 0.275, 0.000)
Zn (0.421, 0.921, 0.500)
Zn (0.500, 0.500, 0.000)
Zn (0.579, 0.079, 0.500)
Zn (0.725, 0.725, 0.000)
Zn (0.921, 0.421, 0.500)
Ga (0.365, 0.365, 0.000)
Ga (0.635, 0.635, 0.000)

Largest 10 diffraction maxima, by angle, 2θ from 15° to 90°:
2θ (°)	I (rel.)
30.0	29
30.7	20
35.7	100
39.6	19
41.2	24
42.9	48
58.9	13
61.0	15
62.3	15
73.9	20



No. 4
Starting from the PBE geometry in Alexandria, the X-ray powder pattern of V3Fe2 was simulated for Cu Kα (weighted mean of Kα1 and Kα2).

Structural model:
Lattice parameters (Å, degrees): 2.902 2.902 14.419 90.00 90.00 90.00
Atoms (fractional coordinates):
V (0.000, 0.000, 0.000)
V (0.000, 0.000, 0.197)
V (0.000, 0.000, 0.397)
V (0.000, 0.000, 0.603)
V (0.000, 0.000, 0.803)
V (0.500, 0.500, 0.500)
Fe (0.500, 0.500, 0.099)
Fe (0.500, 0.500, 0.295)
Fe (0.500, 0.500, 0.705)
Fe (0.500, 0.500, 0.901)

Largest 8 diffraction maxima, by angle, 2θ from 15° to 90°:
2θ (°)	I (rel.)
30.8	1
44.1	51
44.3	100
49.2	1
64.2	15
64.6	7
81.3	28
81.6	14



No. 5
Starting from the PBE geometry in Alexandria, the X-ray powder pattern of ZrIn4Au was simulated for Cu Kα (weighted mean of Kα1 and Kα2).

Structural model:
Lattice parameters (Å, degrees): 5.878 5.878 5.878 60.00 60.00 60.00
Atoms (fractional coordinates):
Zr (0.000, 0.000, 0.000)
In (0.375, 0.375, 0.375)
In (0.375, 0.375, 0.875)
In (0.375, 0.875, 0.375)
In (0.875, 0.375, 0.375)
Au (0.750, 0.750, 0.750)

Largest 10 diffraction maxima, by angle, 2θ from 15° to 90°:
2θ (°)	I (rel.)
30.4	33
35.8	100
37.5	34
54.0	13
57.6	33
63.3	27
71.8	6
74.9	11
75.9	12
87.9	7



No. 6
Starting from the PBE geometry in Alexandria, the X-ray powder pattern of Na3InHg2 was simulated for Cu Kα (weighted mean of Kα1 and Kα2).

Structural model:
Lattice parameters (Å, degrees): 4.716 14.158 4.710 90.00 90.00 90.00
Atoms (fractional coordinates):
Na (0.250, 0.080, 0.000)
Na (0.250, 0.420, 0.000)
Na (0.250, 0.750, 0.001)
Na (0.750, 0.250, 0.999)
Na (0.750, 0.580, 0.000)
Na (0.750, 0.920, 0.000)
In (0.250, 0.250, 0.499)
In (0.750, 0.750, 0.501)
Hg (0.250, 0.589, 0.501)
Hg (0.250, 0.911, 0.501)
Hg (0.750, 0.089, 0.499)
Hg (0.750, 0.411, 0.499)

Largest 10 diffraction maxima, by angle, 2θ from 15° to 90°:
2θ (°)	I (rel.)
18.8	54
26.7	47
32.9	100
38.2	50
42.9	27
47.2	21
55.1	34
58.7	14
65.6	26
65.7	13